This entry pairs a crystal structure of Mg5Fe6S6O10 with its simulated X-ray powder pattern. Radiation: λ = 1.5418 Å (Cu Kα). Structure: the PBE+U geometry in the Materials Project.

Crystal structure
Cell: 5.6609 8.9148 10.4432 Å, 87.13 89.32 76.49°
Sites, in units of the cell vectors:
Mg 0.0000 0.0000 0.0000
Mg 0.1959 0.5994 0.0021
Mg 0.3983 0.1996 0.9964
Mg 0.5977 0.7993 0.0050
Mg 0.7959 0.3992 0.9982
Fe 0.0268 0.2656 0.5146
Fe 0.1950 0.9329 0.4876
Fe 0.3758 0.5991 0.5121
Fe 0.5271 0.2682 0.4870
Fe 0.6941 0.9328 0.5102
Fe 0.8757 0.6000 0.4876
S 0.0325 0.7591 0.6294
S 0.1985 0.4406 0.3694
S 0.3686 0.0918 0.6303
S 0.5328 0.7736 0.3688
S 0.6988 0.4259 0.6319
S 0.8675 0.1088 0.3696
O 0.0395 0.2153 0.0731
O 0.1556 0.3848 0.9216
O 0.2371 0.8149 0.0791
O 0.3602 0.9825 0.9258
O 0.4372 0.4128 0.0739
O 0.5549 0.5863 0.9260
O 0.6399 0.0177 0.0764
O 0.7584 0.1839 0.9221
O 0.8375 0.6122 0.0773
O 0.9564 0.7847 0.9274

Top 6 peaks for 5 to 70 degrees two-theta, by angle:
2theta	d [Å]	Rel. int.
8.48	10.430	60
17.00	5.215	100
39.60	2.276	8
40.88	2.207	7
41.59	2.172	21
42.86	2.110	8